Starting from DFT lattice parameters and positions (PBE), the powder diffraction line list of MgCdHg2Bi was computed for copper Kα.

Structural model:
Lattice parameters (Å, degrees): 7.4132 4.9297 7.7809 90.00 109.99 90.00
Fractional coordinates of all 10 atoms:
Mg 0.1663 0.2500 0.3114
Mg 0.8337 0.7500 0.6886
Cd 0.4558 0.2500 0.0936
Cd 0.5442 0.7500 0.9064
Hg 0.1261 0.2500 0.6741
Hg 0.3625 0.7500 0.5051
Hg 0.6375 0.2500 0.4949
Hg 0.8739 0.7500 0.3259
Bi 0.1926 0.7500 0.0363
Bi 0.8074 0.2500 0.9637

Peak list (12 most intense, 2θ from 15° to 90°, by angle)
- 2θ 24.32, rel. 31
- 2θ 27.33, rel. 30
- 2θ 29.59, rel. 49
- 2θ 30.37, rel. 100
- 2θ 31.28, rel. 25
- 2θ 34.58, rel. 27
- 2θ 36.33, rel. 53
- 2θ 36.45, rel. 52
- 2θ 36.96, rel. 31
- 2θ 48.77, rel. 15
- 2θ 51.12, rel. 18
- 2θ 59.52, rel. 18

=====

Starting from DFT lattice parameters and positions (PBE), the powder diffraction line list of CeU2RhN4 was computed for copper Kα.

Structural model:
Lattice parameters (Å, degrees): 5.9352 5.9352 11.5781 90.00 90.00 145.65
Fractional coordinates of all 16 atoms:
Ce 0.1091 0.8909 0.7500
Ce 0.8909 0.1091 0.2500
U 0.3723 0.6277 0.5586
U 0.3723 0.6277 0.9414
U 0.6277 0.3723 0.0586
U 0.6277 0.3723 0.4414
Rh 0.1597 0.8403 0.2500
Rh 0.8403 0.1597 0.7500
N 0.0000 0.0000 0.0000
N 0.0000 0.0000 0.5000
N 0.2703 0.7297 0.1004
N 0.2703 0.7297 0.3996
N 0.4636 0.5364 0.7500
N 0.5364 0.4636 0.2500
N 0.7297 0.2703 0.6004
N 0.7297 0.2703 0.8996

Peak list (12 most intense, 2θ from 15° to 90°, by angle)
- 2θ 17.41, rel. 19
- 2θ 27.97, rel. 74
- 2θ 30.85, rel. 100
- 2θ 31.56, rel. 53
- 2θ 35.49, rel. 30
- 2θ 35.79, rel. 25
- 2θ 38.32, rel. 70
- 2θ 42.18, rel. 31
- 2θ 47.75, rel. 23
- 2θ 52.19, rel. 20
- 2θ 53.24, rel. 23
- 2θ 53.67, rel. 21

=====

Starting from DFT lattice parameters and positions (PBE), the powder diffraction line list of Ho6CdHg2 was computed for copper Kα.

Structural model:
Lattice parameters (Å, degrees): 8.7249 8.7249 8.7249 111.85 109.46 107.14
Fractional coordinates of all 18 atoms:
Ho 0.0437 0.8228 0.2208
Ho 0.2485 0.5513 0.3028
Ho 0.2485 0.9458 0.6972
Ho 0.2728 0.3202 0.5930
Ho 0.2728 0.6798 0.9525
Ho 0.3980 0.1772 0.2208
Ho 0.6020 0.8228 0.7792
Ho 0.7272 0.3202 0.0475
Ho 0.7272 0.6798 0.4070
Ho 0.7515 0.0542 0.3028
Ho 0.7515 0.4487 0.6972
Ho 0.9563 0.1772 0.7792
Cd 0.0000 0.5000 0.5000
Cd 0.5000 0.0000 0.5000
Hg 0.0000 0.1515 0.1515
Hg 0.0000 0.8485 0.8485
Hg 0.3620 0.3620 0.0000
Hg 0.6380 0.6380 0.0000

Peak list (12 most intense, 2θ from 15° to 90°, by angle)
- 2θ 30.78, rel. 97
- 2θ 32.74, rel. 100
- 2θ 33.51, rel. 23
- 2θ 33.69, rel. 85
- 2θ 33.88, rel. 100
- 2θ 34.62, rel. 20
- 2θ 35.64, rel. 70
- 2θ 37.34, rel. 30
- 2θ 39.36, rel. 28
- 2θ 54.14, rel. 19
- 2θ 56.53, rel. 59
- 2θ 57.14, rel. 22

=====

Starting from DFT lattice parameters and positions (PBE), the powder diffraction line list of Sm3Te2C was computed for copper Kα.

Structural model:
Lattice parameters (Å, degrees): 13.6764 13.0317 7.3671 78.87 69.22 31.91
Fractional coordinates of all 24 atoms:
Sm 0.0380 0.5252 0.1713
Sm 0.0698 0.6802 0.6802
Sm 0.1713 0.7655 0.0380
Sm 0.2345 0.8287 0.4748
Sm 0.3198 0.9302 0.9302
Sm 0.4748 0.9620 0.2345
Sm 0.5252 0.0380 0.7655
Sm 0.6802 0.0698 0.0698
Sm 0.7655 0.1713 0.5252
Sm 0.8287 0.2345 0.9620
Sm 0.9302 0.3198 0.3198
Sm 0.9620 0.4748 0.8287
Te 0.1312 0.1312 0.6188
Te 0.2977 0.2977 0.4523
Te 0.3812 0.3812 0.8688
Te 0.4523 0.4523 0.2977
Te 0.5477 0.5477 0.7023
Te 0.6188 0.6188 0.1312
Te 0.7023 0.7023 0.5477
Te 0.8688 0.8688 0.3812
C 0.0405 0.0405 0.2095
C 0.2095 0.2095 0.0405
C 0.7905 0.7905 0.9595
C 0.9595 0.9595 0.7905

Peak list (12 most intense, 2θ from 15° to 90°, by angle)
- 2θ 28.43, rel. 13
- 2θ 29.89, rel. 58
- 2θ 30.10, rel. 100
- 2θ 30.68, rel. 13
- 2θ 32.29, rel. 17
- 2θ 35.62, rel. 14
- 2θ 38.84, rel. 19
- 2θ 41.98, rel. 14
- 2θ 42.93, rel. 67
- 2θ 44.18, rel. 16
- 2θ 52.39, rel. 13
- 2θ 54.26, rel. 16

=====

Starting from DFT lattice parameters and positions (PBE), the powder diffraction line list of Al2BiSe4 was computed for copper Kα.

Structural model:
Lattice parameters (Å, degrees): 7.9809 7.9809 6.3334 90.00 90.00 90.00
Fractional coordinates of all 14 atoms:
Al 0.0000 0.5000 0.2500
Al 0.0000 0.5000 0.7500
Al 0.5000 0.0000 0.2500
Al 0.5000 0.0000 0.7500
Bi 0.0000 0.0000 0.0000
Bi 0.5000 0.5000 0.5000
Se 0.1633 0.3365 0.5000
Se 0.1635 0.6633 0.0000
Se 0.3367 0.1635 0.0000
Se 0.3365 0.8367 0.5000
Se 0.6635 0.1633 0.5000
Se 0.6633 0.8365 0.0000
Se 0.8365 0.3367 0.0000
Se 0.8367 0.6635 0.5000

Peak list (12 most intense, 2θ from 15° to 90°, by angle)
- 2θ 17.88, rel. 64
- 2θ 28.18, rel. 29
- 2θ 28.71, rel. 100
- 2θ 31.71, rel. 21
- 2θ 32.42, rel. 11
- 2θ 35.57, rel. 28
- 2θ 36.64, rel. 11
- 2θ 43.30, rel. 14
- 2θ 45.98, rel. 49
- 2θ 49.22, rel. 21
- 2θ 50.21, rel. 21
- 2θ 51.19, rel. 12

=====

Starting from DFT lattice parameters and positions (PBE), the powder diffraction line list of Nd4Sm3PuS8 was computed for copper Kα.

Structural model:
Lattice parameters (Å, degrees): 8.0724 8.0724 8.0724 59.90 59.90 59.90
Fractional coordinates of all 16 atoms:
Nd 0.0000 0.0000 0.0000
Nd 0.0000 0.5000 0.5000
Nd 0.5000 0.0000 0.5000
Nd 0.5000 0.5000 0.0000
Sm 0.0000 0.0000 0.5000
Sm 0.0000 0.5000 0.0000
Sm 0.5000 0.0000 0.0000
Pu 0.5000 0.5000 0.5000
S 0.2482 0.2482 0.2482
S 0.2501 0.7464 0.7464
S 0.2536 0.2536 0.7499
S 0.2536 0.7499 0.2536
S 0.7464 0.2501 0.7464
S 0.7464 0.7464 0.2501
S 0.7499 0.2536 0.2536
S 0.7518 0.7518 0.7518

Peak list (12 most intense, 2θ from 15° to 90°, by angle)
- 2θ 27.08, rel. 80
- 2θ 31.37, rel. 100
- 2θ 44.95, rel. 73
- 2θ 53.27, rel. 40
- 2θ 55.87, rel. 19
- 2θ 65.45, rel. 12
- 2θ 72.13, rel. 8
- 2θ 72.25, rel. 8
- 2θ 74.33, rel. 16
- 2θ 74.43, rel. 16
- 2θ 82.97, rel. 18
- 2θ 89.21, rel. 7

=====

Starting from DFT lattice parameters and positions (PBE), the powder diffraction line list of CsSe was computed for copper Kα.

Structural model:
Lattice parameters (Å, degrees): 12.6925 12.6925 5.1710 90.00 90.00 90.00
Fractional coordinates of all 16 atoms:
Cs 0.0079 0.2504 0.0000
Cs 0.2496 0.4921 0.5000
Cs 0.2504 0.9921 0.0000
Cs 0.4921 0.7504 0.5000
Cs 0.5079 0.2496 0.5000
Cs 0.7496 0.0079 0.0000
Cs 0.7504 0.5079 0.5000
Cs 0.9921 0.7496 0.0000
Se 0.2175 0.7650 0.5000
Se 0.2350 0.2175 0.5000
Se 0.2650 0.7175 0.0000
Se 0.2825 0.2650 0.0000
Se 0.7175 0.7350 0.0000
Se 0.7350 0.2825 0.0000
Se 0.7650 0.7825 0.5000
Se 0.7825 0.2350 0.5000

Peak list (12 most intense, 2θ from 15° to 90°, by angle)
- 2θ 18.53, rel. 40
- 2θ 23.27, rel. 48
- 2θ 27.23, rel. 55
- 2θ 28.12, rel. 100
- 2θ 30.72, rel. 77
- 2θ 34.70, rel. 32
- 2θ 39.55, rel. 36
- 2θ 40.20, rel. 37
- 2θ 45.23, rel. 62
- 2θ 54.11, rel. 30
- 2θ 55.63, rel. 22
- 2θ 61.59, rel. 22

=====

Starting from DFT lattice parameters and positions (PBE), the powder diffraction line list of PmNdBeN2 was computed for copper Kα.

Structural model:
Lattice parameters (Å, degrees): 5.1200 5.1613 6.8137 90.00 90.00 90.00
Fractional coordinates of all 10 atoms:
Pm 0.0000 0.0000 0.2500
Pm 0.0000 0.0000 0.7500
Nd 0.5000 0.5000 0.2500
Nd 0.5000 0.5000 0.7500
Be 0.5000 0.0000 0.0000
Be 0.5000 0.0000 0.5000
N 0.2822 0.2117 0.0000
N 0.2822 0.7883 0.5000
N 0.7178 0.2117 0.5000
N 0.7178 0.7883 0.0000

Peak list (12 most intense, 2θ from 15° to 90°, by angle)
- 2θ 24.49, rel. 100
- 2θ 26.16, rel. 34
- 2θ 34.76, rel. 19
- 2θ 35.05, rel. 18
- 2θ 36.14, rel. 81
- 2θ 44.02, rel. 25
- 2θ 44.26, rel. 24
- 2θ 50.20, rel. 18
- 2θ 57.47, rel. 17
- 2θ 59.97, rel. 17
- 2θ 63.21, rel. 15
- 2θ 63.58, rel. 15

=====

Starting from DFT lattice parameters and positions (PBE), the powder diffraction line list of PrDy2Y2Tm was computed for copper Kα.

Structural model:
Lattice parameters (Å, degrees): 6.5008 17.8835 3.4256 90.00 90.00 90.00
Fractional coordinates of all 12 atoms:
Pr 0.0000 0.0000 0.0000
Pr 0.5000 0.5000 0.5000
Dy 0.2142 0.3538 0.5000
Dy 0.2858 0.8538 0.0000
Dy 0.7142 0.1462 0.0000
Dy 0.7858 0.6462 0.5000
Y 0.2174 0.1883 0.0000
Y 0.2826 0.6883 0.5000
Y 0.7174 0.3117 0.5000
Y 0.7826 0.8117 0.0000
Tm 0.0000 0.5000 0.0000
Tm 0.5000 0.0000 0.5000

Peak list (12 most intense, 2θ from 15° to 90°, by angle)
- 2θ 16.86, rel. 44
- 2θ 26.49, rel. 29
- 2θ 29.23, rel. 100
- 2θ 29.47, rel. 29
- 2θ 29.98, rel. 86
- 2θ 30.09, rel. 87
- 2θ 31.16, rel. 61
- 2θ 33.10, rel. 54
- 2θ 34.10, rel. 80
- 2θ 35.79, rel. 63
- 2θ 41.17, rel. 48
- 2θ 55.28, rel. 27

=====

Starting from DFT lattice parameters and positions (PBE), the powder diffraction line list of La7Tb3Nd was computed for copper Kα.

Structural model:
Lattice parameters (Å, degrees): 7.3297 7.3297 8.6836 90.00 90.00 120.00
Fractional coordinates of all 11 atoms:
La 0.0000 0.0000 0.0000
La 0.0045 0.5023 0.0297
La 0.1687 0.3375 0.6674
La 0.1687 0.8313 0.6674
La 0.4977 0.5023 0.0297
La 0.4977 0.9955 0.0297
La 0.6625 0.8313 0.6674
Tb 0.3334 0.1667 0.3483
Tb 0.8333 0.1667 0.3483
Tb 0.8333 0.6666 0.3483
Nd 0.6667 0.3333 0.6933

Peak list (12 most intense, 2θ from 15° to 90°, by angle)
- 2θ 29.98, rel. 100
- 2θ 30.89, rel. 29
- 2θ 35.02, rel. 65
- 2θ 49.76, rel. 24
- 2θ 50.97, rel. 21
- 2θ 59.19, rel. 14
- 2θ 59.73, rel. 27
- 2θ 60.80, rel. 12
- 2θ 62.29, rel. 12
- 2θ 80.89, rel. 12
- 2θ 83.65, rel. 15
- 2θ 85.50, rel. 8

=====

Starting from DFT lattice parameters and positions (PBE), the powder diffraction line list of GeBiH8C2S4N was computed for copper Kα.

Structural model:
Lattice parameters (Å, degrees): 6.8811 7.1149 10.9425 90.00 103.42 90.00
Fractional coordinates of all 34 atoms:
Ge 0.2262 0.0000 0.3480
Ge 0.7738 0.5000 0.6520
Bi 0.2413 0.5937 0.5372
Bi 0.7587 0.0937 0.4628
H 0.0166 0.4138 0.0565
H 0.1215 0.5982 0.9805
H 0.1943 0.3606 0.9643
H 0.2589 0.5636 0.2081
H 0.3513 0.3481 0.1832
H 0.3818 0.0583 0.7956
H 0.4614 0.0010 0.9603
H 0.4679 0.7207 0.0989
H 0.5321 0.2207 0.9011
H 0.5386 0.5010 0.0397
H 0.6182 0.5583 0.2044
H 0.6487 0.8481 0.8168
H 0.7411 0.0636 0.7919
H 0.8057 0.8606 0.0357
H 0.8785 0.0982 0.0195
H 0.9834 0.9138 0.9435
C 0.1508 0.4623 0.0282
C 0.4980 0.5713 0.1194
C 0.5020 0.0713 0.8806
C 0.8492 0.9623 0.9718
S 0.0207 0.2464 0.3412
S 0.0540 0.7350 0.3001
S 0.3953 0.9392 0.5481
S 0.4473 0.0613 0.2348
S 0.5527 0.5613 0.7652
S 0.6047 0.4392 0.4519
S 0.9460 0.2350 0.6999
S 0.9793 0.7464 0.6588
N 0.3142 0.4829 0.1429
N 0.6858 0.9829 0.8571

Peak list (12 most intense, 2θ from 15° to 90°, by angle)
- 2θ 18.20, rel. 94
- 2θ 18.70, rel. 100
- 2θ 20.84, rel. 91
- 2θ 21.29, rel. 55
- 2θ 22.56, rel. 88
- 2θ 25.03, rel. 72
- 2θ 25.99, rel. 48
- 2θ 26.42, rel. 59
- 2θ 26.81, rel. 83
- 2θ 28.03, rel. 73
- 2θ 33.66, rel. 78
- 2θ 39.27, rel. 67

=====

Starting from DFT lattice parameters and positions (PBE), the powder diffraction line list of Tm2Tl3Zn was computed for copper Kα.

Structural model:
Lattice parameters (Å, degrees): 8.6614 8.6614 8.6614 136.04 63.90 136.06
Fractional coordinates of all 12 atoms:
Tm 0.1501 0.2465 0.3966
Tm 0.3499 0.7465 0.0964
Tm 0.6501 0.2535 0.9036
Tm 0.8499 0.7535 0.6034
Tl 0.1425 0.7254 0.8679
Tl 0.2500 0.2500 0.0000
Tl 0.3575 0.2254 0.5829
Tl 0.6425 0.7746 0.4171
Tl 0.7500 0.7500 0.0000
Tl 0.8575 0.2746 0.1321
Zn 0.2500 0.7500 0.5000
Zn 0.7500 0.2500 0.5000

Peak list (12 most intense, 2θ from 15° to 90°, by angle)
- 2θ 24.22, rel. 12
- 2θ 27.52, rel. 28
- 2θ 30.13, rel. 45
- 2θ 36.69, rel. 20
- 2θ 36.98, rel. 100
- 2θ 39.31, rel. 51
- 2θ 54.86, rel. 24
- 2θ 56.81, rel. 17
- 2θ 65.65, rel. 10
- 2θ 69.55, rel. 12
- 2θ 69.74, rel. 29
- 2θ 70.33, rel. 18